(1)
The following is a simulated X-ray powder pattern of Sr3Li2Pb3. It was derived from DFT lattice parameters and positions (PBE), using Cu Kα, 1.54184 Å.

Main lines, by angle (2θ from 15° to 90°):
| d [Å] | 2theta | I_rel |
| --- | --- | --- |
| 4.587 | 19.35 | 40.0 |
| 3.559 | 25.02 | 66.0 |
| 3.111 | 28.70 | 100.0 |
| 3.060 | 29.18 | 24.1 |
| 2.995 | 29.84 | 33.6 |
| 2.725 | 32.87 | 27.8 |
| 2.507 | 35.82 | 29.4 |
| 2.483 | 36.18 | 34.7 |
| 2.242 | 40.22 | 32.8 |
| 1.664 | 55.20 | 26.4 |

```
data_Sr3Li2Pb3
_cell_length_a 6.4835
_cell_length_b 6.4835
_cell_length_c 16.9272
_cell_angle_alpha 90.00
_cell_angle_beta 90.00
_cell_angle_gamma 134.97
_symmetry_space_group_name_H-M 'P 1'
_symmetry_Int_Tables_number 1
loop_
_symmetry_equiv_pos_as_xyz
'x,y,z'
loop_
_atom_site_label
_atom_site_type_symbol
_atom_site_fract_x
_atom_site_fract_y
_atom_site_fract_z
_atom_site_occupancy
Sr1 Sr 0.0900 0.9100 0.6094 1
Sr2 Sr 0.0900 0.9100 0.8906 1
Sr3 Sr 0.3746 0.6254 0.7500 1
Sr4 Sr 0.6254 0.3746 0.2500 1
Sr5 Sr 0.9100 0.0900 0.1094 1
Sr6 Sr 0.9100 0.0900 0.3906 1
Li1 Li 0.2131 0.7869 0.0921 1
Li2 Li 0.2131 0.7869 0.4079 1
Li3 Li 0.7869 0.2131 0.5921 1
Li4 Li 0.7869 0.2131 0.9079 1
Pb1 Pb 0.3301 0.6699 0.2500 1
Pb2 Pb 0.3848 0.6152 0.5425 1
Pb3 Pb 0.3848 0.6152 0.9575 1
Pb4 Pb 0.6152 0.3848 0.0425 1
Pb5 Pb 0.6152 0.3848 0.4575 1
Pb6 Pb 0.6699 0.3301 0.7500 1
```

(2)
The following is a simulated X-ray powder pattern of Ce7Ge3Bi. It was derived from DFT lattice parameters and positions (PBE), using Cu Kα, 1.54184 Å.

Main lines, by angle (2θ from 15° to 90°):
| d [Å] | 2theta | I_rel |
| --- | --- | --- |
| 3.550 | 25.09 | 15.6 |
| 3.218 | 27.72 | 16.0 |
| 2.965 | 30.14 | 74.8 |
| 2.911 | 30.72 | 23.8 |
| 2.874 | 31.12 | 63.0 |
| 2.431 | 36.97 | 100.0 |
| 2.077 | 43.58 | 20.2 |
| 2.064 | 43.87 | 49.1 |
| 1.588 | 58.09 | 26.9 |
| 1.559 | 59.26 | 20.3 |

```
data_Ce7Ge3Bi
_cell_length_a 7.8866
_cell_length_b 7.8866
_cell_length_c 7.8866
_cell_angle_alpha 135.83
_cell_angle_beta 110.19
_cell_angle_gamma 86.42
_symmetry_space_group_name_H-M 'P 1'
_symmetry_Int_Tables_number 1
loop_
_symmetry_equiv_pos_as_xyz
'x,y,z'
loop_
_atom_site_label
_atom_site_type_symbol
_atom_site_fract_x
_atom_site_fract_y
_atom_site_fract_z
_atom_site_occupancy
Ce1 Ce 0.0000 0.0000 0.0000 1
Ce2 Ce 0.1175 0.7674 0.3501 1
Ce3 Ce 0.3526 0.5000 0.8526 1
Ce4 Ce 0.4174 0.7674 0.6499 1
Ce5 Ce 0.5826 0.2326 0.3501 1
Ce6 Ce 0.6474 0.5000 0.1474 1
Ce7 Ce 0.8825 0.2326 0.6499 1
Ge1 Ge 0.2626 0.2626 0.0000 1
Ge2 Ge 0.5000 0.0000 0.5000 1
Ge3 Ge 0.7374 0.7374 0.0000 1
Bi1 Bi 0.0000 0.5000 0.5000 1
```

Repeat the second record exactly.
The following is a simulated X-ray powder pattern of Ce7Ge3Bi. It was derived from DFT lattice parameters and positions (PBE), using Cu Kα, 1.54184 Å.

Main lines, by angle (2θ from 15° to 90°):
| d [Å] | 2theta | I_rel |
| --- | --- | --- |
| 3.550 | 25.09 | 15.6 |
| 3.218 | 27.72 | 16.0 |
| 2.965 | 30.14 | 74.8 |
| 2.911 | 30.72 | 23.8 |
| 2.874 | 31.12 | 63.0 |
| 2.431 | 36.97 | 100.0 |
| 2.077 | 43.58 | 20.2 |
| 2.064 | 43.87 | 49.1 |
| 1.588 | 58.09 | 26.9 |
| 1.559 | 59.26 | 20.3 |

```
data_Ce7Ge3Bi
_cell_length_a 7.8866
_cell_length_b 7.8866
_cell_length_c 7.8866
_cell_angle_alpha 135.83
_cell_angle_beta 110.19
_cell_angle_gamma 86.42
_symmetry_space_group_name_H-M 'P 1'
_symmetry_Int_Tables_number 1
loop_
_symmetry_equiv_pos_as_xyz
'x,y,z'
loop_
_atom_site_label
_atom_site_type_symbol
_atom_site_fract_x
_atom_site_fract_y
_atom_site_fract_z
_atom_site_occupancy
Ce1 Ce 0.0000 0.0000 0.0000 1
Ce2 Ce 0.1175 0.7674 0.3501 1
Ce3 Ce 0.3526 0.5000 0.8526 1
Ce4 Ce 0.4174 0.7674 0.6499 1
Ce5 Ce 0.5826 0.2326 0.3501 1
Ce6 Ce 0.6474 0.5000 0.1474 1
Ce7 Ce 0.8825 0.2326 0.6499 1
Ge1 Ge 0.2626 0.2626 0.0000 1
Ge2 Ge 0.5000 0.0000 0.5000 1
Ge3 Ge 0.7374 0.7374 0.0000 1
Bi1 Bi 0.0000 0.5000 0.5000 1
```

Repeat the first record exactly.
The following is a simulated X-ray powder pattern of Sr3Li2Pb3. It was derived from DFT lattice parameters and positions (PBE), using Cu Kα, 1.54184 Å.

Main lines, by angle (2θ from 15° to 90°):
| d [Å] | 2theta | I_rel |
| --- | --- | --- |
| 4.587 | 19.35 | 40.0 |
| 3.559 | 25.02 | 66.0 |
| 3.111 | 28.70 | 100.0 |
| 3.060 | 29.18 | 24.1 |
| 2.995 | 29.84 | 33.6 |
| 2.725 | 32.87 | 27.8 |
| 2.507 | 35.82 | 29.4 |
| 2.483 | 36.18 | 34.7 |
| 2.242 | 40.22 | 32.8 |
| 1.664 | 55.20 | 26.4 |

```
data_Sr3Li2Pb3
_cell_length_a 6.4835
_cell_length_b 6.4835
_cell_length_c 16.9272
_cell_angle_alpha 90.00
_cell_angle_beta 90.00
_cell_angle_gamma 134.97
_symmetry_space_group_name_H-M 'P 1'
_symmetry_Int_Tables_number 1
loop_
_symmetry_equiv_pos_as_xyz
'x,y,z'
loop_
_atom_site_label
_atom_site_type_symbol
_atom_site_fract_x
_atom_site_fract_y
_atom_site_fract_z
_atom_site_occupancy
Sr1 Sr 0.0900 0.9100 0.6094 1
Sr2 Sr 0.0900 0.9100 0.8906 1
Sr3 Sr 0.3746 0.6254 0.7500 1
Sr4 Sr 0.6254 0.3746 0.2500 1
Sr5 Sr 0.9100 0.0900 0.1094 1
Sr6 Sr 0.9100 0.0900 0.3906 1
Li1 Li 0.2131 0.7869 0.0921 1
Li2 Li 0.2131 0.7869 0.4079 1
Li3 Li 0.7869 0.2131 0.5921 1
Li4 Li 0.7869 0.2131 0.9079 1
Pb1 Pb 0.3301 0.6699 0.2500 1
Pb2 Pb 0.3848 0.6152 0.5425 1
Pb3 Pb 0.3848 0.6152 0.9575 1
Pb4 Pb 0.6152 0.3848 0.0425 1
Pb5 Pb 0.6152 0.3848 0.4575 1
Pb6 Pb 0.6699 0.3301 0.7500 1
```

- What is the formula in the second record?
  Ce7Ge3Bi